Na2Ni7O14: computed PXRD pattern (Cu Kα), based on a structure optimized by DFT (PBE+U).

Structure:
```
Na2Ni7O14
1.0
4.9294 0.0000 0.0000
-1.6356 6.2936 0.0000
-0.8818 -2.0326 8.8216
Na Ni O
2 7 14
direct
0.1490 0.2729 0.2704 Na
0.8510 0.7271 0.7296 Na
0.0000 0.5000 0.0000 Ni
0.1407 0.7818 0.2862 Ni
0.2868 0.0720 0.5712 Ni
0.4289 0.3533 0.8583 Ni
0.5711 0.6467 0.1417 Ni
0.7132 0.9280 0.4288 Ni
0.8593 0.2182 0.7138 Ni
0.0103 0.8069 0.4807 O
0.1038 0.4883 0.8058 O
0.1523 0.0907 0.7574 O
0.2417 0.7754 0.0967 O
0.2983 0.3847 0.0503 O
0.4129 0.0514 0.3812 O
0.4381 0.6651 0.3359 O
0.5619 0.3349 0.6641 O
0.5871 0.9486 0.6188 O
0.7017 0.6153 0.9497 O
0.7583 0.2246 0.9033 O
0.8477 0.9093 0.2426 O
0.8962 0.5117 0.1942 O
0.9897 0.1931 0.5193 O
```

Peak list (12 most intense, 10° ≤ 2θ ≤ 90°, sorted by position)
d (Å)  2θ (°)  I/Imax
5.667  15.64  100
2.834  31.57  9
2.438  36.87  6
2.419  37.17  5
2.401  37.45  5
2.370  37.97  3
2.339  38.49  6
2.127  42.49  25
2.102  43.04  12
1.731  52.89  5
1.727  53.04  5
1.711  53.57  5